[1]
Calculated powder diffraction line list
Compound: Er2AlCoOs
Radiation: a wavelength of 1.5418 Å
Structure: a structure optimized by DFT (PBE)
Peak positions follow from Bragg's law for the DFT cell and can differ from measured ones.

Principal peaks in the range 2θ from 15° to 90°, by intensity:
Position (°2θ), I_rel
38.89, 100
34.65, 95
40.81, 46
27.19, 41
19.15, 38
60.59, 28

Structural model:
```
5
Lattice="-2.033 4.218 2.774 2.033 -4.218 2.774 2.033 4.218 -2.774" Properties=species:S:1:pos:R:3 pbc="T T T"
Er 0.000 1.748 0.000
Er 0.000 6.689 0.000
Al 0.000 0.000 2.756
Co 0.000 4.218 1.479
Os 2.033 0.000 1.112
```

---

[2]
Calculated powder diffraction line list
Compound: ErScAlCo2
Radiation: a wavelength of 1.5418 Å
Structure: a structure optimized by DFT (PBE)
Peak positions follow from Bragg's law for the DFT cell and can differ from measured ones.

Principal peaks in the range 2θ from 15° to 90°, by intensity:
Position (°2θ), I_rel
36.11, 100
42.35, 64
20.01, 62
40.68, 50
28.02, 47
40.89, 46

Structural model:
```
5
Lattice="-1.983 2.670 3.983 1.983 -2.670 3.983 1.983 2.670 -3.983" Properties=species:S:1:pos:R:3 pbc="T T T"
Er 0.000 0.000 0.000
Sc 0.000 0.000 3.262
Al 0.000 2.670 1.603
Co 1.983 1.196 1.634
Co 0.000 1.474 5.618
```

---

[3]
Calculated powder diffraction line list
Compound: Hf2Al2FeCo2Ir
Radiation: a wavelength of 1.5418 Å
Structure: a structure optimized by DFT (PBE)
Peak positions follow from Bragg's law for the DFT cell and can differ from measured ones.

Principal peaks in the range 2θ from 15° to 90°, by intensity:
Position (°2θ), I_rel
41.90, 100
25.30, 43
76.57, 22
49.58, 21
60.81, 11
76.46, 11

Structural model:
```
8
Lattice="4.309 0.000 0.000 0.000 4.309 0.000 0.000 0.000 6.108" Properties=species:S:1:pos:R:3 pbc="T T T"
Hf 0.000 2.154 1.458
Hf 2.154 0.000 4.649
Al 0.000 2.154 4.613
Al 2.154 0.000 1.495
Fe 2.154 2.154 0.000
Co 0.000 0.000 0.000
Co 2.154 2.154 3.054
Ir 0.000 0.000 3.054
```